Starting from a DFT-relaxed cell (PBE, Alexandria), the powder X-ray diffraction pattern of ZrTi2S5 was computed for Cu Kα X-rays.

a b c (Å): 4.800 12.657 13.086
angles (deg): 90.00 90.00 90.00
Space group Fmmm (No. 69)
Unique sites:
1 Zr 0.000 0.000 0.000 x4
2 Ti 0.000 0.189 0.500 x8
3 S 0.000 0.000 0.500 x4
4 S 0.000 0.166 0.118 x16

Top 12 peaks for 10 to 90 degrees two-theta, in order of rising 2θ:
d_spacing	I/Imax	h k l
6.543	100	0 0 2
4.245	14	1 1 1
2.906	7	0 2 4
2.849	7	0 4 2
2.564	34	1 3 3
2.400	17	2 0 0
2.274	9	0 4 4
2.253	12	2 0 2
2.109	9	0 6 0
2.018	21	1 3 5
2.008	6	0 6 2
1.584	7	2 6 0